(1)
Sr3Mo2O7: theoretical powder diffraction line list (Cu Kα), based on a DFT-relaxed cell (GGA+U, Alexandria).
Peak positions follow from Bragg's law for the DFT cell and can differ from measured ones.

Largest 10 diffraction maxima, in order of rising 2θ, 2θ from 10° to 80°:
Position (°2θ)	d_spacing	I (rel.)
30.5	2.929	100.0
31.4	2.850	57.8
42.4	2.132	17.5
45.0	2.016	34.3
53.7	1.707	20.1
55.3	1.660	37.6
63.5	1.465	19.1
65.5	1.425	10.3
74.0	1.282	8.2
74.4	1.275	9.5

Structure:
```
data_Sr3Mo2O7
_chemical_formula_sum 'Sr3 Mo2 O7'
_cell_length_a 11.033
_cell_length_b 11.033
_cell_length_c 11.033
_cell_angle_alpha 158.95
_cell_angle_beta 158.95
_cell_angle_gamma 29.94
_symmetry_space_group_name_H-M 'P 1'
_symmetry_Int_Tables_number 1
_symmetry_space_group_name_Hall 'P 1'
loop_
_atom_site_label
_atom_site_fract_x
_atom_site_fract_y
_atom_site_fract_z
_atom_site_occupancy
Sr1 0.000 0.000 0.000 1
Sr2 0.188 0.188 0.000 1
Sr3 0.812 0.812 0.000 1
Mo1 0.401 0.401 0.000 1
Mo2 0.599 0.599 0.000 1
O1 0.098 0.598 0.500 1
O2 0.302 0.302 0.000 1
O3 0.402 0.902 0.500 1
O4 0.500 0.500 0.000 1
O5 0.598 0.098 0.500 1
O6 0.698 0.698 0.000 1
O7 0.902 0.402 0.500 1
```



(2)
Sr2Mo3O10: theoretical powder diffraction line list (Cu Kα), based on a DFT-relaxed cell (GGA+U, Alexandria).
Peak positions follow from Bragg's law for the DFT cell and can differ from measured ones.

Largest 10 diffraction maxima, in order of rising 2θ, 2θ from 10° to 80°:
Position (°2θ)	d_spacing	I (rel.)
27.8	3.209	100.0
27.9	3.193	48.1
28.2	3.169	32.7
28.4	3.144	31.1
28.8	3.101	58.9
29.2	3.061	21.8
31.9	2.806	34.0
41.5	2.178	35.2
50.9	1.794	25.0
56.5	1.630	35.8

Structure:
```
data_Sr2Mo3O10
_chemical_formula_sum 'Sr4 Mo6 O20'
_cell_length_a 9.792
_cell_length_b 9.792
_cell_length_c 7.705
_cell_angle_alpha 112.15
_cell_angle_beta 112.15
_cell_angle_gamma 36.43
_symmetry_space_group_name_H-M 'P 1'
_symmetry_Int_Tables_number 1
_symmetry_space_group_name_Hall 'P 1'
loop_
_atom_site_label
_atom_site_fract_x
_atom_site_fract_y
_atom_site_fract_z
_atom_site_occupancy
Sr1 0.101 0.101 0.218 1
Sr2 0.201 0.201 0.822 1
Sr3 0.799 0.799 0.178 1
Sr4 0.899 0.899 0.782 1
Mo1 0.245 0.755 0.500 1
Mo2 0.313 0.313 0.463 1
Mo3 0.416 0.416 0.015 1
Mo4 0.584 0.584 0.985 1
Mo5 0.687 0.687 0.537 1
Mo6 0.755 0.245 0.500 1
O1 0.000 0.500 0.500 1
O2 0.019 0.019 0.685 1
O3 0.123 0.588 0.020 1
O4 0.146 0.638 0.469 1
O5 0.268 0.268 0.210 1
O6 0.289 0.711 0.000 1
O7 0.362 0.854 0.531 1
O8 0.371 0.371 0.746 1
O9 0.412 0.877 0.980 1
O10 0.474 0.474 0.305 1
O11 0.500 0.000 0.500 1
O12 0.526 0.526 0.695 1
O13 0.588 0.123 0.020 1
O14 0.629 0.629 0.254 1
O15 0.638 0.146 0.469 1
O16 0.711 0.289 0.000 1
O17 0.732 0.732 0.790 1
O18 0.854 0.362 0.531 1
O19 0.877 0.412 0.980 1
O20 0.981 0.981 0.315 1
```



(3)
SrTc2MoO8: theoretical powder diffraction line list (Cu Kα), based on a DFT-relaxed cell (GGA+U, Alexandria).
Peak positions follow from Bragg's law for the DFT cell and can differ from measured ones.

Largest 10 diffraction maxima, in order of rising 2θ, 2θ from 10° to 80°:
Position (°2θ)	d_spacing	I (rel.)
17.5	5.058	17.2
21.7	4.099	100.0
30.6	2.920	77.2
31.1	2.877	60.7
42.7	2.118	14.9
44.2	2.050	36.4
49.4	1.844	21.7
54.4	1.686	14.5
54.7	1.678	27.7
61.8	1.500	19.5

Structure:
```
data_SrTc2MoO8
_chemical_formula_sum 'Sr1 Tc2 Mo1 O8'
_cell_length_a 5.841
_cell_length_b 5.841
_cell_length_c 6.996
_cell_angle_alpha 90.00
_cell_angle_beta 90.00
_cell_angle_gamma 120.00
_symmetry_space_group_name_H-M 'P 1'
_symmetry_Int_Tables_number 1
_symmetry_space_group_name_Hall 'P 1'
loop_
_atom_site_label
_atom_site_fract_x
_atom_site_fract_y
_atom_site_fract_z
_atom_site_occupancy
Sr1 0.000 0.000 0.000 1
Tc1 0.333 0.667 0.766 1
Tc2 0.667 0.333 0.234 1
Mo1 0.000 0.000 0.500 1
O1 0.157 0.315 0.702 1
O2 0.157 0.843 0.702 1
O3 0.315 0.157 0.298 1
O4 0.333 0.667 0.019 1
O5 0.667 0.333 0.981 1
O6 0.685 0.843 0.702 1
O7 0.843 0.157 0.298 1
O8 0.843 0.685 0.298 1
```



(4)
SrTmMo2O8: theoretical powder diffraction line list (Cu Kα), based on a DFT-relaxed cell (GGA+U, Alexandria).
Peak positions follow from Bragg's law for the DFT cell and can differ from measured ones.

Largest 10 diffraction maxima, in order of rising 2θ, 2θ from 10° to 80°:
Position (°2θ)	d_spacing	I (rel.)
23.5	3.779	100.0
31.8	2.813	71.5
33.5	2.672	23.1
46.9	1.937	61.0
48.2	1.889	16.3
54.3	1.690	14.8
58.9	1.568	18.2
61.2	1.515	12.4
69.5	1.353	14.4
79.4	1.207	12.1

Structure:
```
data_SrTmMo2O8
_chemical_formula_sum 'Sr1 Tm1 Mo2 O8'
_cell_length_a 6.285
_cell_length_b 6.285
_cell_length_c 6.285
_cell_angle_alpha 106.09
_cell_angle_beta 106.09
_cell_angle_gamma 116.47
_symmetry_space_group_name_H-M 'P 1'
_symmetry_Int_Tables_number 1
_symmetry_space_group_name_Hall 'P 1'
loop_
_atom_site_label
_atom_site_fract_x
_atom_site_fract_y
_atom_site_fract_z
_atom_site_occupancy
Sr1 0.000 0.000 0.000 1
Tm1 0.250 0.750 0.500 1
Mo1 0.500 0.500 0.000 1
Mo2 0.750 0.250 0.500 1
O1 0.339 0.147 0.809 1
O2 0.339 0.530 0.191 1
O3 0.377 0.054 0.323 1
O4 0.470 0.661 0.809 1
O5 0.731 0.054 0.677 1
O6 0.853 0.661 0.191 1
O7 0.946 0.269 0.323 1
O8 0.946 0.623 0.677 1
```



(5)
Sr2VMoO6: theoretical powder diffraction line list (Cu Kα), based on a DFT-relaxed cell (GGA+U, Alexandria).
Peak positions follow from Bragg's law for the DFT cell and can differ from measured ones.

Largest 10 diffraction maxima, in order of rising 2θ, 2θ from 10° to 80°:
Position (°2θ)	d_spacing	I (rel.)
31.5	2.840	100.0
31.6	2.828	51.4
44.9	2.018	17.5
45.2	2.005	19.0
45.5	1.994	18.6
56.0	1.642	17.2
56.2	1.637	19.1
56.4	1.633	18.8
65.6	1.422	10.1
66.1	1.414	11.0

Structure:
```
data_Sr2VMoO6
_chemical_formula_sum 'Sr4 V2 Mo2 O12'
_cell_length_a 9.012
_cell_length_b 9.001
_cell_length_c 5.655
_cell_angle_alpha 71.80
_cell_angle_beta 71.60
_cell_angle_gamma 36.60
_symmetry_space_group_name_H-M 'P 1'
_symmetry_Int_Tables_number 1
_symmetry_space_group_name_Hall 'P 1'
loop_
_atom_site_label
_atom_site_fract_x
_atom_site_fract_y
_atom_site_fract_z
_atom_site_occupancy
Sr1 0.000 0.000 0.500 1
Sr2 0.230 0.230 0.270 1
Sr3 0.500 0.500 0.000 1
Sr4 0.730 0.730 0.770 1
V1 0.116 0.116 0.884 1
V2 0.616 0.616 0.384 1
Mo1 0.365 0.365 0.635 1
Mo2 0.865 0.865 0.135 1
O1 0.106 0.625 0.894 1
O2 0.115 0.614 0.386 1
O3 0.239 0.239 0.761 1
O4 0.353 0.877 0.647 1
O5 0.366 0.865 0.135 1
O6 0.490 0.490 0.510 1
O7 0.614 0.115 0.885 1
O8 0.625 0.106 0.375 1
O9 0.740 0.740 0.260 1
O10 0.865 0.366 0.634 1
O11 0.877 0.353 0.123 1
O12 0.990 0.990 0.010 1
```



(6)
SrVMoO6: theoretical powder diffraction line list (Cu Kα), based on a DFT-relaxed cell (GGA+U, Alexandria).
Peak positions follow from Bragg's law for the DFT cell and can differ from measured ones.

Largest 10 diffraction maxima, in order of rising 2θ, 2θ from 10° to 80°:
Position (°2θ)	d_spacing	I (rel.)
16.4	5.400	43.5
25.3	3.513	99.8
25.8	3.458	98.8
26.0	3.421	100.0
33.9	2.643	29.6
34.4	2.603	28.1
34.9	2.574	26.3
47.5	1.912	26.8
48.7	1.871	26.4
49.4	1.845	24.6

Structure:
```
data_SrVMoO6
_chemical_formula_sum 'Sr1 V1 Mo1 O6'
_cell_length_a 5.151
_cell_length_b 5.209
_cell_length_c 5.402
_cell_angle_alpha 90.26
_cell_angle_beta 91.18
_cell_angle_gamma 118.62
_symmetry_space_group_name_H-M 'P 1'
_symmetry_Int_Tables_number 1
_symmetry_space_group_name_Hall 'P 1'
loop_
_atom_site_label
_atom_site_fract_x
_atom_site_fract_y
_atom_site_fract_z
_atom_site_occupancy
Sr1 0.000 0.000 0.000 1
V1 0.332 0.672 0.464 1
Mo1 0.661 0.323 0.516 1
O1 0.003 0.373 0.689 1
O2 0.005 0.615 0.290 1
O3 0.382 0.004 0.693 1
O4 0.399 0.382 0.282 1
O5 0.621 0.619 0.692 1
O6 0.623 0.001 0.290 1
```



(7)
Sr3V2MoO9: theoretical powder diffraction line list (Cu Kα), based on a DFT-relaxed cell (GGA+U, Alexandria).
Peak positions follow from Bragg's law for the DFT cell and can differ from measured ones.

Largest 10 diffraction maxima, in order of rising 2θ, 2θ from 10° to 80°:
Position (°2θ)	d_spacing	I (rel.)
18.3	4.860	2.4
22.4	3.969	2.3
31.9	2.807	100.0
39.3	2.292	10.4
43.7	2.073	0.8
45.7	1.985	37.8
51.5	1.775	0.8
56.8	1.620	37.7
66.6	1.403	21.5
75.8	1.255	16.3

Structure:
```
data_Sr3V2MoO9
_chemical_formula_sum 'Sr3 V2 Mo1 O9'
_cell_length_a 5.612
_cell_length_b 5.612
_cell_length_c 6.878
_cell_angle_alpha 90.00
_cell_angle_beta 90.00
_cell_angle_gamma 120.00
_symmetry_space_group_name_H-M 'P 1'
_symmetry_Int_Tables_number 1
_symmetry_space_group_name_Hall 'P 1'
loop_
_atom_site_label
_atom_site_fract_x
_atom_site_fract_y
_atom_site_fract_z
_atom_site_occupancy
Sr1 0.000 0.000 0.000 1
Sr2 0.333 0.667 0.677 1
Sr3 0.667 0.333 0.323 1
V1 0.333 0.667 0.163 1
V2 0.667 0.333 0.837 1
Mo1 0.000 0.000 0.500 1
O1 0.000 0.500 0.000 1
O2 0.169 0.337 0.324 1
O3 0.169 0.831 0.324 1
O4 0.337 0.169 0.676 1
O5 0.500 0.000 0.000 1
O6 0.500 0.500 0.000 1
O7 0.663 0.831 0.324 1
O8 0.831 0.169 0.676 1
O9 0.831 0.663 0.676 1
```



(8)
Sr2VMoO6: theoretical powder diffraction line list (Cu Kα), based on a DFT-relaxed cell (GGA+U, Alexandria).
Peak positions follow from Bragg's law for the DFT cell and can differ from measured ones.

Largest 10 diffraction maxima, in order of rising 2θ, 2θ from 10° to 80°:
Position (°2θ)	d_spacing	I (rel.)
31.5	2.839	100.0
31.8	2.817	49.0
44.8	2.024	18.9
45.4	1.996	18.0
45.6	1.988	17.7
55.9	1.644	19.4
56.4	1.632	18.9
56.5	1.629	18.6
65.7	1.421	10.8
65.9	1.418	10.7

Structure:
```
data_Sr2VMoO6
_chemical_formula_sum 'Sr2 V1 Mo1 O6'
_cell_length_a 5.633
_cell_length_b 5.633
_cell_length_c 4.049
_cell_angle_alpha 90.00
_cell_angle_beta 90.00
_cell_angle_gamma 90.23
_symmetry_space_group_name_H-M 'P 1'
_symmetry_Int_Tables_number 1
_symmetry_space_group_name_Hall 'P 1'
loop_
_atom_site_label
_atom_site_fract_x
_atom_site_fract_y
_atom_site_fract_z
_atom_site_occupancy
Sr1 0.000 0.500 0.000 1
Sr2 0.500 0.000 0.000 1
V1 0.000 0.000 0.500 1
Mo1 0.500 0.500 0.500 1
O1 0.000 0.000 0.000 1
O2 0.237 0.237 0.500 1
O3 0.250 0.750 0.500 1
O4 0.500 0.500 0.000 1
O5 0.750 0.250 0.500 1
O6 0.763 0.763 0.500 1
```